Structure and calculated X-ray powder pattern of Be2NiN2F14 (a structure optimized by DFT (PBE+U); Cu Kα, 1.54184 Å).

Cell and atoms:
abc: 6.5416 11.2639 8.6176
angles: 90.00 103.60 90.00
Fractional coordinates of all 38 atoms:
Be: 0.1011 0.1363 0.4377
Be: 0.1011 0.3637 0.9377
Be: 0.8989 0.6363 0.0623
Be: 0.8989 0.8637 0.5623
Ni: 0.5000 0.0000 0.0000
Ni: 0.5000 0.5000 0.5000
N: 0.2796 0.6490 0.7678
N: 0.2796 0.8510 0.2678
N: 0.7204 0.1490 0.7322
N: 0.7204 0.3510 0.2322
F: 0.0658 0.2062 0.3013
F: 0.0658 0.2938 0.8013
F: 0.1607 0.0717 0.5784
F: 0.1607 0.4283 0.0784
F: 0.1834 0.5388 0.7450
F: 0.1834 0.9612 0.2450
F: 0.2502 0.0647 0.9787
F: 0.2502 0.4353 0.4787
F: 0.3891 0.6436 0.9264
F: 0.3891 0.8564 0.4264
F: 0.3970 0.6009 0.3449
F: 0.3970 0.8991 0.8449
F: 0.4553 0.6339 0.6853
F: 0.4553 0.8661 0.1853
F: 0.5447 0.1339 0.8147
F: 0.5447 0.3661 0.3147
F: 0.6030 0.1009 0.1551
F: 0.6030 0.3991 0.6551
F: 0.6109 0.1436 0.5736
F: 0.6109 0.3564 0.0736
F: 0.7498 0.5647 0.5213
F: 0.7498 0.9353 0.0213
F: 0.8166 0.0388 0.7550
F: 0.8166 0.4612 0.2550
F: 0.8393 0.5717 0.9216
F: 0.8393 0.9283 0.4216
F: 0.9342 0.7062 0.1987
F: 0.9342 0.7938 0.6987

Top 10 peaks for 2θ = 10–90°, low angle first:
hkl 0 1 1, 2θ = 13.17°, d = 6.721 Å, rel. 586
hkl 1 0 0, 2θ = 13.93°, d = 6.358 Å, rel. 493
hkl 0 2 0, 2θ = 15.74°, d = 5.632 Å, rel. 590
hkl 1 1 -1, 2θ = 17.30°, d = 5.127 Å, rel. 308
hkl 0 2 1, 2θ = 18.99°, d = 4.674 Å, rel. 280
hkl 1 1 1, 2θ = 20.97°, d = 4.237 Å, rel. 1000
hkl 0 3 1, 2θ = 26.01°, d = 3.426 Å, rel. 355
hkl 0 2 2, 2θ = 26.52°, d = 3.361 Å, rel. 279
hkl 2 1 0, 2θ = 29.19°, d = 3.060 Å, rel. 358
hkl 1 3 -2, 2θ = 32.88°, d = 2.724 Å, rel. 313

Structure and calculated X-ray powder pattern of Rb2Be2NiO6F8 (a structure optimized by DFT (PBE+U); Cu Kα, 1.54184 Å).

Cell and atoms:
abc: 5.9908 11.6638 8.4400
angles: 90.00 102.81 90.00
Fractional coordinates of all 38 atoms:
Rb: 0.1532 0.1448 0.3881
Rb: 0.1532 0.3552 0.8881
Rb: 0.8468 0.6448 0.1119
Rb: 0.8468 0.8552 0.6119
Be: 0.2583 0.6547 0.8878
Be: 0.2583 0.8453 0.3878
Be: 0.7417 0.1547 0.6122
Be: 0.7417 0.3453 0.1122
Ni: 0.5000 0.0000 0.0000
Ni: 0.5000 0.5000 0.5000
O: 0.2192 0.5687 0.5007
O: 0.2192 0.9313 0.0007
O: 0.3367 0.1039 0.8588
O: 0.3367 0.3961 0.3588
O: 0.4108 0.1157 0.1173
O: 0.4108 0.3843 0.6173
O: 0.5892 0.6157 0.3827
O: 0.5892 0.8843 0.8827
O: 0.6633 0.6039 0.6412
O: 0.6633 0.8961 0.1412
O: 0.7808 0.0687 0.9993
O: 0.7808 0.4313 0.4993
F: 0.1019 0.7398 0.4054
F: 0.1019 0.7602 0.9054
F: 0.1291 0.5799 0.7333
F: 0.1291 0.9201 0.2333
F: 0.2826 0.5766 0.0341
F: 0.2826 0.9234 0.5341
F: 0.4860 0.6997 0.8516
F: 0.4860 0.8003 0.3516
F: 0.5140 0.1997 0.6484
F: 0.5140 0.3003 0.1484
F: 0.7174 0.0766 0.4659
F: 0.7174 0.4234 0.9659
F: 0.8709 0.0799 0.7667
F: 0.8709 0.4201 0.2667
F: 0.8981 0.2398 0.0946
F: 0.8981 0.2602 0.5946

Top 10 peaks for 2θ = 10–90°, low angle first:
hkl 0 0 2, 2θ = 21.57°, d = 4.121 Å, rel. 469
hkl 1 1 1, 2θ = 21.89°, d = 4.061 Å, rel. 1000
hkl 1 2 -1, 2θ = 22.54°, d = 3.945 Å, rel. 351
hkl 1 0 -2, 2θ = 23.52°, d = 3.782 Å, rel. 611
hkl 0 3 1, 2θ = 25.34°, d = 3.515 Å, rel. 760
hkl 2 1 -1, 2θ = 31.10°, d = 2.876 Å, rel. 478
hkl 1 2 2, 2θ = 33.06°, d = 2.710 Å, rel. 329
hkl 0 2 3, 2θ = 36.18°, d = 2.482 Å, rel. 301
hkl 2 2 1, 2θ = 38.16°, d = 2.358 Å, rel. 366
hkl 1 5 0, 2θ = 41.69°, d = 2.166 Å, rel. 364

Structure and calculated X-ray powder pattern of Be2Tl2NiO6F8 (a structure optimized by DFT (PBE+U); Cu Kα, 1.54184 Å).

Cell and atoms:
abc: 5.4734 13.8811 9.3266
angles: 90.00 117.91 90.00
Fractional coordinates of all 38 atoms:
Be: 0.2389 0.1324 0.0560
Be: 0.2389 0.3676 0.5560
Be: 0.7611 0.6324 0.4440
Be: 0.7611 0.8676 0.9440
Tl: 0.4628 0.6156 0.7297
Tl: 0.4628 0.8844 0.2297
Tl: 0.5372 0.1156 0.7703
Tl: 0.5372 0.3844 0.2703
Ni: 0.0000 0.0000 0.5000
Ni: 0.0000 0.5000 0.0000
O: 0.1611 0.6171 0.9338
O: 0.1611 0.8829 0.4338
O: 0.2938 0.6733 0.0479
O: 0.2938 0.8267 0.5479
O: 0.3017 0.0669 0.5408
O: 0.3017 0.4331 0.0408
O: 0.6983 0.5669 0.9592
O: 0.6983 0.9331 0.4592
O: 0.7062 0.1733 0.4521
O: 0.7062 0.3267 0.9521
O: 0.8389 0.1171 0.5662
O: 0.8389 0.3829 0.0662
F: 0.1008 0.6519 0.5163
F: 0.1008 0.8481 0.0163
F: 0.2737 0.1086 0.9008
F: 0.2737 0.3914 0.4008
F: 0.3070 0.0435 0.1667
F: 0.3070 0.4565 0.6667
F: 0.3903 0.2249 0.1437
F: 0.3903 0.2751 0.6437
F: 0.6097 0.7249 0.3563
F: 0.6097 0.7751 0.8563
F: 0.6930 0.5435 0.3333
F: 0.6930 0.9565 0.8333
F: 0.7263 0.6086 0.5992
F: 0.7263 0.8914 0.0992
F: 0.8992 0.1519 0.9837
F: 0.8992 0.3481 0.4837

Top 10 peaks for 2θ = 10–90°, low angle first:
hkl 0 2 1, 2θ = 16.70°, d = 5.309 Å, rel. 1000
hkl 1 0 0, 2θ = 18.34°, d = 4.837 Å, rel. 296
hkl 1 0 -2, 2θ = 20.77°, d = 4.276 Å, rel. 937
hkl 0 4 0, 2θ = 25.67°, d = 3.470 Å, rel. 188
hkl 1 2 1, 2θ = 28.46°, d = 3.136 Å, rel. 307
hkl 1 4 0, 2θ = 31.72°, d = 2.821 Å, rel. 375
hkl 1 4 -2, 2θ = 33.24°, d = 2.695 Å, rel. 160
hkl 2 2 -3, 2θ = 38.55°, d = 2.336 Å, rel. 148
hkl 0 6 1, 2θ = 40.50°, d = 2.227 Å, rel. 144
hkl 1 4 -4, 2θ = 47.00°, d = 1.933 Å, rel. 158

Q: Which formula does entry 3 have?
A: Be2Tl2NiO6F8